TbPm5Sn4: calculated powder diffraction line list (Cu Kα (weighted mean of Kα1 and Kα2)), based on a crystal structure in Alexandria, relaxed with GGA-PBE.

Main lines, in order of rising 2θ (2θ from 15° to 90°):
- 2θ 23.11, I = 24, hkl 3 1 0
- 2θ 32.66, I = 54, hkl 6 0 0
- 2θ 33.18, I = 53, hkl 0 2 0
- 2θ 33.87, I = 100, hkl 3 1 -2
- 2θ 34.05, I = 98, hkl 3 1 2
- 2θ 47.24, I = 39, hkl 6 2 0
- 2θ 58.95, I = 19, hkl 9 1 -2
- 2θ 59.30, I = 19, hkl 9 1 2
- 2θ 59.72, I = 20, hkl 3 3 -2
- 2θ 59.83, I = 20, hkl 3 3 2

```
data_TbPm5Sn4
_chemical_formula_sum 'Tb2 Pm10 Sn8'
_space_group_name_H-M_alt 'C 1 2/m 1'
_space_group_IT_number 12
_space_group_name_Hall '-C 2y'
_cell_length_a 16.452
_cell_length_b 5.401
_cell_length_c 7.256
_cell_angle_alpha 90.00
_cell_angle_beta 90.42
_cell_angle_gamma 90.00
loop_
_atom_site_label
_atom_site_type_symbol
_atom_site_fract_x
_atom_site_fract_y
_atom_site_fract_z
Tb1 Tb 0.000 0.000 0.000
Pm1 Pm 0.000 0.000 0.500
Pm2 Pm 0.166 0.500 0.496
Pm3 Pm 0.167 0.500 0.007
Sn1 Sn 0.008 0.500 0.755
Sn2 Sn 0.174 0.000 0.249
```